Starting from a GGA-PBE-relaxed structure, the powder XRD pattern of AlFe5Si was computed for Cu Kα, 1.54184 Å.
Kinematic intensities with the Lorentz-polarization factor, no thermal factor.

Crystal structure
```
AlFe5Si
1.0
2.435 -3.694 0.000
2.435 3.694 0.000
0.000 0.000 4.983
Al Fe Si
1 5 1
Cartesian
0.000 0.000 0.000
0.000 0.000 2.491
1.218 1.847 1.237
1.218 1.847 3.746
1.218 -1.847 1.237
1.218 -1.847 3.746
2.435 0.000 2.491
```

Peak list (8 most intense, 15 to 90 degrees two-theta, low angle first)
2θ (°), I/Imax
17.8, 16
21.9, 18
24.1, 31
43.8, 100
44.6, 95
49.3, 34
52.5, 56
74.9, 36

=====

Starting from a GGA-PBE-relaxed structure, the powder XRD pattern of Li2Cd2Bi2Pb was computed for Cu Kα, 1.54184 Å.
Kinematic intensities with the Lorentz-polarization factor, no thermal factor.

Crystal structure
```
Li2Cd2Bi2Pb
1.0
2.502 1.445 8.463
-2.502 1.445 8.463
0.000 -2.890 8.463
Li Cd Bi Pb
2 2 2 1
Cartesian
0.000 0.000 3.548
0.000 0.000 21.840
0.000 0.000 11.270
0.000 0.000 14.118
0.000 0.000 6.652
0.000 0.000 18.736
0.000 0.000 0.000
```

Peak list (8 most intense, 15 to 90 degrees two-theta, low angle first)
2θ (°), I/Imax
24.9, 100
32.2, 49
35.9, 74
44.2, 23
44.5, 25
49.0, 15
58.2, 20
62.2, 15

=====

Starting from a GGA-PBE-relaxed structure, the powder XRD pattern of La12CeTl4O3 was computed for Cu Kα, 1.54184 Å.
Kinematic intensities with the Lorentz-polarization factor, no thermal factor.

Crystal structure
```
La12CeTl4O3
1.0
-5.189 5.189 5.189
5.189 -5.189 5.189
5.189 5.189 -5.189
La Ce Tl O
12 1 4 3
Cartesian
2.763 0.000 0.000
7.616 0.000 0.000
5.189 2.595 0.000
5.189 0.000 2.595
0.000 2.763 0.000
0.000 0.000 2.763
2.595 5.189 0.000
2.595 0.000 5.189
0.000 7.616 0.000
0.000 0.000 7.616
0.000 5.189 2.595
0.000 2.595 5.189
0.000 0.000 0.000
2.595 2.595 -2.595
2.595 -2.595 2.595
-2.595 2.595 2.595
2.595 2.595 2.595
5.189 0.000 0.000
0.000 5.189 0.000
0.000 0.000 5.189
```

Peak list (8 most intense, 15 to 90 degrees two-theta, low angle first)
2θ (°), I/Imax
24.3, 10
29.8, 100
34.6, 69
49.7, 49
59.0, 42
61.9, 16
80.7, 17
83.3, 21

=====

Starting from a GGA-PBE-relaxed structure, the powder XRD pattern of Ca4TeN2 was computed for Cu Kα, 1.54184 Å.
Kinematic intensities with the Lorentz-polarization factor, no thermal factor.

Crystal structure
```
Ca4TeN2
1.0
1.921 -6.249 0.000
1.921 6.249 0.000
0.000 0.000 12.603
Ca Te N
8 2 4
Cartesian
0.000 0.000 0.000
0.000 0.000 6.301
1.921 3.007 7.497
1.921 3.007 11.407
1.921 0.979 3.151
1.921 -0.979 9.452
1.921 -3.007 1.196
1.921 -3.007 5.105
1.921 4.860 3.151
1.921 -4.860 9.452
1.921 1.739 0.849
1.921 1.739 5.453
1.921 -1.739 7.150
1.921 -1.739 11.754
```

Peak list (8 most intense, 15 to 90 degrees two-theta, low angle first)
2θ (°), I/Imax
15.8, 43
25.6, 25
31.8, 29
32.0, 45
32.4, 65
32.5, 100
34.8, 34
48.4, 23